Entry 1:
The following is a calculated X-ray diffraction stick pattern of Pr5Sm2TmSc. It was derived from a structure optimized by DFT (PBE), using a wavelength of 1.5418 Å.

Structural model:
```
Pr5Sm2TmSc
1.0
-4.2176 4.2176 8.6878
4.2176 -4.2176 8.6878
4.2176 4.2176 -8.6878
Pr Sm Tm Sc
10 4 2 2
Cartesian
0.0000 0.0000 0.0000
6.0622 1.8446 -2.5315
1.8446 2.3730 -2.5315
6.0622 1.8446 2.5315
1.8446 2.3730 2.5315
0.0000 0.0000 8.6878
2.3730 1.8446 6.1563
-1.8446 2.3730 6.1563
2.3730 1.8446 11.2193
-1.8446 2.3730 11.2193
3.1558 1.0618 0.0000
3.1558 -1.0618 8.6878
1.0618 5.2794 0.0000
1.0618 3.1558 8.6878
0.0000 0.0000 4.3439
0.0000 0.0000 13.0318
4.2176 0.0000 4.3439
0.0000 4.2176 4.3439
```

Largest 6 diffraction maxima, low angle first, 10° ≤ 2θ ≤ 90°:
Position (°2θ), Rel. int.
28.23, 58
29.52, 100
29.96, 52
33.60, 25
39.65, 18
52.92, 28

---

Entry 2:
The following is a calculated X-ray diffraction stick pattern of HgOsCl. It was derived from a structure optimized by DFT (PBE), using a wavelength of 1.5418 Å.

Structural model:
```
HgOsCl
1.0
0.0000 2.6799 7.9013
1.4371 0.0000 7.9013
1.4371 2.6799 0.0000
Hg Os Cl
1 1 1
Cartesian
0.0000 0.0000 0.0000
1.4371 2.6799 5.4012
1.4371 2.6799 11.4555
```

Largest 6 diffraction maxima, low angle first, 10° ≤ 2θ ≤ 90°:
Position (°2θ), Rel. int.
11.20, 97
33.44, 43
34.04, 31
39.48, 100
45.92, 32
63.84, 25